Structure and calculated X-ray diffraction stick pattern of Nd2MgIn (a cell relaxed with GGA-PBE; CuKα).
Lines closer than 0.1° are merged.

Structural model:
```
16
Lattice="7.7550 0.0000 0.0000 0.0000 7.7550 0.0000 0.0000 0.0000 7.7550" Properties=species:S:1:pos:R:3 pbc="T T T"
Nd 1.9388 1.9388 1.9388
Nd 1.9388 1.9388 5.8163
Nd 1.9388 5.8163 1.9388
Nd 1.9388 5.8163 5.8163
Nd 5.8163 1.9388 1.9388
Nd 5.8163 1.9388 5.8163
Nd 5.8163 5.8163 1.9388
Nd 5.8163 5.8163 5.8163
Mg 0.0000 0.0000 0.0000
Mg 0.0000 3.8775 3.8775
Mg 3.8775 0.0000 3.8775
Mg 3.8775 3.8775 0.0000
In 0.0000 0.0000 3.8775
In 0.0000 3.8775 0.0000
In 3.8775 0.0000 0.0000
In 3.8775 3.8775 3.8775
```

Principal peaks in the range 2θ from 10° to 90°, by angle:
two_theta	d [Å]	Rel. int.
22.94	3.878	13.9
32.66	2.742	100.0
46.86	1.939	18.1
58.29	1.583	37.5
68.44	1.371	11.5
77.91	1.226	15.9

***

Structure and calculated X-ray diffraction stick pattern of NdMgIn (a cell relaxed with GGA-PBE; CuKα).
Lines closer than 0.1° are merged.

Structural model:
```
9
Lattice="7.7556 0.0000 0.0000 -3.8778 6.7165 0.0000 0.0000 0.0000 4.7482" Properties=species:S:1:pos:R:3 pbc="T T T"
Nd -2.2204 3.8458 0.0000
Nd 1.6574 2.8708 0.0000
Nd 4.4407 0.0000 0.0000
Mg -0.9383 1.6252 2.3741
Mg 1.8766 0.0000 2.3741
Mg 2.9395 5.0913 2.3741
In 0.0000 0.0000 0.0000
In 0.0000 4.4777 2.3741
In 3.8778 2.2388 2.3741
```

Principal peaks in the range 2θ from 10° to 90°, by angle:
two_theta	d [Å]	Rel. int.
22.93	3.878	28.3
29.75	3.003	58.5
32.66	2.742	100.0
40.28	2.239	37.0
52.79	1.734	29.3
63.47	1.466	40.4